For Cu3Mo2H2O10, a DFT-relaxed cell (GGA+U, Alexandria) gives the calculated powder X-ray diffraction pattern in this record (Cu Kα).

```
Cu3Mo2H2O10
1.0
5.664 0.000 0.000
0.541 5.839 0.000
0.391 0.680 6.544
Cu Mo H O
3 2 2 10
Cartesian
0.000 0.000 0.000
2.385 1.419 0.500
4.210 5.101 6.043
1.585 3.976 4.370
5.011 2.543 2.174
2.084 4.540 1.301
4.511 1.979 5.243
0.544 1.358 1.328
1.395 3.760 2.588
1.905 2.473 5.329
2.195 4.943 0.389
3.155 4.825 4.444
3.441 1.694 2.100
4.401 1.576 6.155
4.690 4.046 1.215
5.200 2.760 3.956
6.052 5.161 5.216
```

Peak list (10 most intense, 10 to 90 degrees two-theta, sorted by position)
two_theta  I (rel.)
13.5  25
21.3  25
21.5  100
23.7  15
26.3  67
30.9  19
34.0  16
34.2  29
34.7  29
36.0  27